This entry pairs a crystal structure of Nb4ZnC3 with its calculated X-ray powder pattern. Radiation: Cu Kα. Structure: the PBE geometry in OQMD.
Kinematic intensities with the Lorentz-polarization factor, no thermal factor.

Crystal structure
```
data_Nb4ZnC3
_space_group_name_H-M_alt 'P 1'
_space_group_IT_number 1
_space_group_name_Hall 'P 1'
_cell_length_a 3.160
_cell_length_b 3.160
_cell_length_c 24.183
_cell_angle_alpha 90.00
_cell_angle_beta 90.00
_cell_angle_gamma 120.00
loop_
_atom_site_label
_atom_site_fract_x
_atom_site_fract_y
_atom_site_fract_z
Nb1 0.000 0.000 0.158
Nb2 0.000 0.000 0.342
Nb3 0.000 0.000 0.658
Nb4 0.000 0.000 0.842
Nb5 0.333 0.667 0.056
Nb6 0.333 0.667 0.444
Nb7 0.667 0.333 0.556
Nb8 0.667 0.333 0.944
Zn1 0.333 0.667 0.250
Zn2 0.667 0.333 0.750
C1 0.000 0.000 0.000
C2 0.000 0.000 0.500
C3 0.333 0.667 0.610
C4 0.333 0.667 0.890
C5 0.667 0.333 0.110
C6 0.667 0.333 0.390
```

Principal peaks in the range 2θ = 10–80°, most intense first:
- 39.82 deg, I 100
- 37.77 deg, I 78
- 71.30 deg, I 51
- 58.41 deg, I 46
- 36.03 deg, I 43
- 37.18 deg, I 39
- 32.94 deg, I 24
- 33.58 deg, I 23

=====

This entry pairs a crystal structure of NdNpW2C3 with its calculated X-ray powder pattern. Radiation: Cu Kα. Structure: the PBE geometry in OQMD.
Kinematic intensities with the Lorentz-polarization factor, no thermal factor.

Crystal structure
```
data_NdNpW2C3
_space_group_name_H-M_alt 'P 1'
_space_group_IT_number 1
_space_group_name_Hall 'P 1'
_cell_length_a 6.272
_cell_length_b 6.272
_cell_length_c 5.788
_cell_angle_alpha 112.96
_cell_angle_beta 112.96
_cell_angle_gamma 30.64
loop_
_atom_site_label
_atom_site_fract_x
_atom_site_fract_y
_atom_site_fract_z
Nd1 0.000 0.000 0.000
Np1 0.786 0.786 0.373
W1 0.242 0.242 0.868
W2 0.555 0.555 0.523
C1 0.150 0.150 0.458
C2 0.393 0.393 0.205
C3 0.653 0.653 0.933
```

Principal peaks in the range 2θ = 10–80°, most intense first:
- 34.59 deg, I 100
- 35.79 deg, I 84
- 32.37 deg, I 43
- 31.00 deg, I 36
- 33.87 deg, I 28
- 55.23 deg, I 25
- 29.78 deg, I 25
- 31.13 deg, I 23

=====

This entry pairs a crystal structure of NdCO5 with its calculated X-ray powder pattern. Radiation: Cu Kα. Structure: the PBE geometry in OQMD.
Kinematic intensities with the Lorentz-polarization factor, no thermal factor.

Crystal structure
```
data_NdCO5
_space_group_name_H-M_alt 'P 1'
_space_group_IT_number 1
_space_group_name_Hall 'P 1'
_cell_length_a 4.591
_cell_length_b 4.633
_cell_length_c 4.704
_cell_angle_alpha 106.65
_cell_angle_beta 116.93
_cell_angle_gamma 94.27
loop_
_atom_site_label
_atom_site_fract_x
_atom_site_fract_y
_atom_site_fract_z
Nd1 0.000 0.000 0.000
C1 0.514 0.350 0.796
O1 0.259 0.397 0.566
O2 0.490 0.184 0.969
O3 0.523 0.845 0.393
O4 0.818 0.865 0.396
O5 0.820 0.454 0.862
```

Principal peaks in the range 2θ = 10–80°, most intense first:
- 22.68 deg, I 100
- 20.61 deg, I 65
- 26.63 deg, I 45
- 28.77 deg, I 42
- 22.37 deg, I 36
- 36.14 deg, I 29
- 45.43 deg, I 24
- 39.57 deg, I 22

=====

This entry pairs a crystal structure of Nd2C5O13 with its calculated X-ray powder pattern. Radiation: Cu Kα. Structure: the PBE geometry in OQMD.
Kinematic intensities with the Lorentz-polarization factor, no thermal factor.

Crystal structure
```
data_Nd2C5O13
_space_group_name_H-M_alt 'P 1'
_space_group_IT_number 1
_space_group_name_Hall 'P 1'
_cell_length_a 5.548
_cell_length_b 8.599
_cell_length_c 12.522
_cell_angle_alpha 101.35
_cell_angle_beta 102.07
_cell_angle_gamma 106.52
loop_
_atom_site_label
_atom_site_fract_x
_atom_site_fract_y
_atom_site_fract_z
Nd1 0.166 0.188 0.286
Nd2 0.250 0.599 0.923
Nd3 0.750 0.401 0.077
Nd4 0.834 0.812 0.714
C1 0.035 0.209 0.751
C2 0.070 0.815 0.146
C3 0.326 0.427 0.158
C4 0.349 0.356 0.563
C5 0.394 0.008 0.952
C6 0.606 0.992 0.048
C7 0.651 0.644 0.437
C8 0.674 0.573 0.842
C9 0.930 0.185 0.854
C10 0.965 0.791 0.249
O1 0.005 0.073 0.679
O2 0.034 0.682 0.069
O3 0.140 0.355 0.745
O4 0.150 0.442 0.208
O5 0.162 0.704 0.648
O6 0.185 0.962 0.144
O7 0.219 0.870 0.888
O8 0.232 0.215 0.511
O9 0.377 0.822 0.645
O10 0.401 0.519 0.094
O11 0.406 0.152 0.943
O12 0.430 0.313 0.174
O13 0.473 0.499 0.606
O14 0.527 0.501 0.394
O15 0.570 0.687 0.826
O16 0.594 0.848 0.057
O17 0.599 0.481 0.906
O18 0.623 0.178 0.355
O19 0.768 0.785 0.489
O20 0.781 0.130 0.112
O21 0.815 0.038 0.856
O22 0.838 0.296 0.352
O23 0.850 0.558 0.792
O24 0.860 0.645 0.255
O25 0.966 0.318 0.931
O26 0.995 0.927 0.321
```

Principal peaks in the range 2θ = 10–80°, most intense first:
- 15.08 deg, I 100
- 19.52 deg, I 73
- 24.11 deg, I 48
- 32.45 deg, I 30
- 33.14 deg, I 23
- 30.42 deg, I 22
- 24.40 deg, I 22
- 27.25 deg, I 22

=====

This entry pairs a crystal structure of Nd2ReC2 with its calculated X-ray powder pattern. Radiation: Cu Kα. Structure: the PBE geometry in OQMD.
Kinematic intensities with the Lorentz-polarization factor, no thermal factor.

Crystal structure
```
data_Nd2ReC2
_space_group_name_H-M_alt 'P 1'
_space_group_IT_number 1
_space_group_name_Hall 'P 1'
_cell_length_a 6.717
_cell_length_b 5.351
_cell_length_c 10.200
_cell_angle_alpha 90.00
_cell_angle_beta 90.00
_cell_angle_gamma 90.00
loop_
_atom_site_label
_atom_site_fract_x
_atom_site_fract_y
_atom_site_fract_z
Nd1 0.025 0.250 0.214
Nd2 0.189 0.250 0.551
Nd3 0.311 0.750 0.051
Nd4 0.475 0.750 0.714
Nd5 0.525 0.250 0.286
Nd6 0.689 0.250 0.949
Nd7 0.811 0.750 0.449
Nd8 0.975 0.750 0.786
Re1 0.231 0.250 0.858
Re2 0.269 0.750 0.358
Re3 0.731 0.250 0.642
Re4 0.769 0.750 0.142
C1 0.033 0.750 0.242
C2 0.186 0.750 0.538
C3 0.314 0.250 0.038
C4 0.467 0.250 0.742
C5 0.533 0.750 0.258
C6 0.686 0.750 0.962
C7 0.814 0.250 0.462
C8 0.967 0.250 0.758
```

Principal peaks in the range 2θ = 10–80°, most intense first:
- 32.68 deg, I 100
- 33.49 deg, I 67
- 33.97 deg, I 64
- 31.17 deg, I 57
- 37.70 deg, I 23
- 31.91 deg, I 22
- 31.45 deg, I 20
- 51.31 deg, I 19

=====

This entry pairs a crystal structure of Nd2WC2 with its calculated X-ray powder pattern. Radiation: Cu Kα. Structure: the PBE geometry in OQMD.
Kinematic intensities with the Lorentz-polarization factor, no thermal factor.

Crystal structure
```
data_Nd2WC2
_space_group_name_H-M_alt 'P 1'
_space_group_IT_number 1
_space_group_name_Hall 'P 1'
_cell_length_a 5.826
_cell_length_b 5.826
_cell_length_c 10.393
_cell_angle_alpha 90.00
_cell_angle_beta 90.00
_cell_angle_gamma 90.00
loop_
_atom_site_label
_atom_site_fract_x
_atom_site_fract_y
_atom_site_fract_z
Nd1 0.197 0.197 0.157
Nd2 0.197 0.197 0.843
Nd3 0.303 0.697 0.343
Nd4 0.303 0.697 0.657
Nd5 0.697 0.303 0.343
Nd6 0.697 0.303 0.657
Nd7 0.803 0.803 0.157
Nd8 0.803 0.803 0.843
W1 0.177 0.177 0.500
W2 0.323 0.677 0.000
W3 0.677 0.323 0.000
W4 0.823 0.823 0.500
C1 0.000 0.000 0.357
C2 0.000 0.000 0.643
C3 0.000 0.500 0.000
C4 0.000 0.500 0.500
C5 0.500 0.000 0.000
C6 0.500 0.000 0.500
C7 0.500 0.500 0.143
C8 0.500 0.500 0.857
```

Principal peaks in the range 2θ = 10–80°, most intense first:
- 33.81 deg, I 100
- 34.42 deg, I 53
- 30.69 deg, I 40
- 54.14 deg, I 30
- 30.01 deg, I 23
- 63.54 deg, I 18
- 66.13 deg, I 16
- 64.61 deg, I 16

=====

This entry pairs a crystal structure of Ni8C with its calculated X-ray powder pattern. Radiation: Cu Kα. Structure: the PBE geometry in OQMD.
Kinematic intensities with the Lorentz-polarization factor, no thermal factor.

Crystal structure
```
data_Ni8C
_space_group_name_H-M_alt 'P 1'
_space_group_IT_number 1
_space_group_name_Hall 'P 1'
_cell_length_a 7.744
_cell_length_b 7.744
_cell_length_c 2.326
_cell_angle_alpha 90.00
_cell_angle_beta 90.00
_cell_angle_gamma 120.00
loop_
_atom_site_label
_atom_site_fract_x
_atom_site_fract_y
_atom_site_fract_z
Ni1 0.166 0.332 0.000
Ni2 0.166 0.834 0.000
Ni3 0.332 0.166 0.000
Ni4 0.333 0.667 0.000
Ni5 0.667 0.333 0.000
Ni6 0.668 0.834 0.000
Ni7 0.834 0.166 0.000
Ni8 0.834 0.668 0.000
C1 0.000 0.000 0.500
```

Principal peaks in the range 2θ = 10–80°, most intense first:
- 26.58 deg, I 100
- 46.93 deg, I 92
- 62.40 deg, I 68
- 38.71 deg, I 51
- 47.57 deg, I 45
- 69.05 deg, I 13
- 54.75 deg, I 13
- 74.93 deg, I 9

=====

This entry pairs a crystal structure of NiC8 with its calculated X-ray powder pattern. Radiation: Cu Kα. Structure: the PBE geometry in OQMD.
Kinematic intensities with the Lorentz-polarization factor, no thermal factor.

Crystal structure
```
data_NiC8
_space_group_name_H-M_alt 'P 1'
_space_group_IT_number 1
_space_group_name_Hall 'P 1'
_cell_length_a 4.985
_cell_length_b 4.985
_cell_length_c 3.559
_cell_angle_alpha 90.00
_cell_angle_beta 90.00
_cell_angle_gamma 120.00
loop_
_atom_site_label
_atom_site_fract_x
_atom_site_fract_y
_atom_site_fract_z
Ni1 0.000 0.000 0.000
C1 0.168 0.336 0.500
C2 0.168 0.832 0.500
C3 0.333 0.667 0.500
C4 0.336 0.168 0.500
C5 0.664 0.832 0.500
C6 0.667 0.333 0.500
C7 0.832 0.168 0.500
C8 0.832 0.664 0.500
```

Principal peaks in the range 2θ = 10–80°, most intense first:
- 20.57 deg, I 100
- 32.61 deg, I 64
- 49.38 deg, I 45
- 44.37 deg, I 26
- 36.03 deg, I 24
- 62.63 deg, I 17
- 56.39 deg, I 12
- 55.88 deg, I 12

=====

This entry pairs a crystal structure of NiPW4C2 with its calculated X-ray powder pattern. Radiation: Cu Kα. Structure: the PBE geometry in OQMD.
Kinematic intensities with the Lorentz-polarization factor, no thermal factor.

Crystal structure
```
data_NiPW4C2
_space_group_name_H-M_alt 'P 1'
_space_group_IT_number 1
_space_group_name_Hall 'P 1'
_cell_length_a 3.125
_cell_length_b 3.125
_cell_length_c 12.065
_cell_angle_alpha 90.00
_cell_angle_beta 90.00
_cell_angle_gamma 120.00
loop_
_atom_site_label
_atom_site_fract_x
_atom_site_fract_y
_atom_site_fract_z
Ni1 0.000 0.000 0.000
P1 0.667 0.333 0.500
W1 0.000 0.000 0.352
W2 0.000 0.000 0.648
W3 0.667 0.333 0.161
W4 0.667 0.333 0.839
C1 0.333 0.667 0.251
C2 0.333 0.667 0.749
```

Principal peaks in the range 2θ = 10–80°, most intense first:
- 40.16 deg, I 100
- 33.10 deg, I 27
- 33.94 deg, I 24
- 59.12 deg, I 24
- 45.05 deg, I 21
- 77.32 deg, I 17
- 73.89 deg, I 17
- 14.68 deg, I 14

=====

This entry pairs a crystal structure of Sc2NiC with its calculated X-ray powder pattern. Radiation: Cu Kα. Structure: the PBE geometry in OQMD.
Kinematic intensities with the Lorentz-polarization factor, no thermal factor.

Crystal structure
```
data_Sc2NiC
_space_group_name_H-M_alt 'P 1'
_space_group_IT_number 1
_space_group_name_Hall 'P 1'
_cell_length_a 5.698
_cell_length_b 5.698
_cell_length_c 13.405
_cell_angle_alpha 102.56
_cell_angle_beta 102.56
_cell_angle_gamma 59.97
loop_
_atom_site_label
_atom_site_fract_x
_atom_site_fract_y
_atom_site_fract_z
Sc1 0.035 0.872 0.605
Sc2 0.128 0.965 0.895
Sc3 0.199 0.363 0.092
Sc4 0.300 0.470 0.408
Sc5 0.363 0.199 0.592
Sc6 0.470 0.300 0.908
Sc7 0.530 0.700 0.092
Sc8 0.637 0.801 0.408
Sc9 0.700 0.530 0.592
Sc10 0.801 0.637 0.908
Sc11 0.872 0.035 0.105
Sc12 0.965 0.128 0.395
Ni1 0.083 0.418 0.750
Ni2 0.406 0.594 0.250
Ni3 0.418 0.083 0.250
Ni4 0.582 0.917 0.750
Ni5 0.594 0.406 0.750
Ni6 0.917 0.582 0.250
C1 0.000 0.500 0.500
C2 0.161 0.677 0.000
C3 0.323 0.839 0.500
C4 0.500 0.000 0.000
C5 0.677 0.161 0.500
C6 0.839 0.323 0.000
```

Principal peaks in the range 2θ = 10–80°, most intense first:
- 37.86 deg, I 100
- 37.72 deg, I 52
- 41.77 deg, I 39
- 65.98 deg, I 30
- 42.28 deg, I 27
- 38.31 deg, I 23
- 37.64 deg, I 21
- 36.49 deg, I 21

=====

This entry pairs a crystal structure of Y2Sc4Ni3C3 with its calculated X-ray powder pattern. Radiation: Cu Kα. Structure: the PBE geometry in OQMD.
Kinematic intensities with the Lorentz-polarization factor, no thermal factor.

Crystal structure
```
data_Y2Sc4Ni3C3
_space_group_name_H-M_alt 'P 1'
_space_group_IT_number 1
_space_group_name_Hall 'P 1'
_cell_length_a 5.820
_cell_length_b 5.820
_cell_length_c 13.609
_cell_angle_alpha 102.89
_cell_angle_beta 102.89
_cell_angle_gamma 59.99
loop_
_atom_site_label
_atom_site_fract_x
_atom_site_fract_y
_atom_site_fract_z
Y1 0.040 0.876 0.616
Y2 0.124 0.960 0.884
Y3 0.876 0.040 0.116
Y4 0.960 0.124 0.384
Sc1 0.199 0.360 0.090
Sc2 0.298 0.474 0.410
Sc3 0.360 0.199 0.590
Sc4 0.474 0.298 0.910
Sc5 0.526 0.702 0.090
Sc6 0.640 0.801 0.410
Sc7 0.702 0.526 0.590
Sc8 0.801 0.640 0.910
Ni1 0.084 0.415 0.750
Ni2 0.412 0.588 0.250
Ni3 0.415 0.084 0.250
Ni4 0.585 0.916 0.750
Ni5 0.588 0.412 0.750
Ni6 0.916 0.585 0.250
C1 0.000 0.500 0.500
C2 0.169 0.661 0.999
C3 0.339 0.831 0.501
C4 0.500 0.000 0.000
C5 0.661 0.169 0.499
C6 0.831 0.339 0.001
```

Principal peaks in the range 2θ = 10–80°, most intense first:
- 36.91 deg, I 100
- 37.09 deg, I 73
- 37.25 deg, I 70
- 41.20 deg, I 58
- 35.69 deg, I 43
- 35.90 deg, I 40
- 31.46 deg, I 33
- 64.48 deg, I 30